No. 1
Simulated powder XRD pattern
Compound: K3Cu2
Radiation: a wavelength of 1.5418 Å
Structure: DFT lattice parameters and positions (GGA-PBE)

Principal peaks in the range 2θ = 5–70°, sorted by position:
- 26.7 deg, I = 80, hkl 2 0 2
- 28.8 deg, I = 24, hkl 2 2 2
- 29.9 deg, I = 100, hkl 1 5 1
- 30.2 deg, I = 37, hkl 1 1 3
- 30.7 deg, I = 37, hkl 3 1 1
- 33.8 deg, I = 23, hkl 1 3 3
- 34.4 deg, I = 31, hkl 3 3 1
- 37.7 deg, I = 18, hkl 0 0 4
- 40.3 deg, I = 17, hkl 1 5 3
- 44.5 deg, I = 16, hkl 4 4 0
- 49.2 deg, I = 19, hkl 3 5 3
- 55.0 deg, I = 17, hkl 4 0 4

Structure:
```
data_K3Cu2
_chemical_formula_sum 'K24 Cu16'
_cell_length_a 9.3352
_cell_length_b 16.6862
_cell_length_c 9.5445
_cell_angle_alpha 90.00
_cell_angle_beta 90.00
_cell_angle_gamma 90.00
_symmetry_space_group_name_H-M 'F d d 2'
_symmetry_Int_Tables_number 43
_symmetry_space_group_name_Hall 'F 2 -2d'
loop_
_atom_site_label
_atom_site_type_symbol
_atom_site_fract_x
_atom_site_fract_y
_atom_site_fract_z
K1 K 0.0000 0.0000 0.0000
K2 K 0.1145 0.1118 0.6078
Cu1 Cu 0.0098 0.3063 0.5069
```

=====

No. 2
Simulated powder XRD pattern
Compound: DyPaAs2
Radiation: a wavelength of 1.5418 Å
Structure: DFT lattice parameters and positions (GGA-PBE)

Principal peaks in the range 2θ = 5–70°, sorted by position:
- 17.1 deg, I = 4, hkl 1 0 1
- 26.6 deg, I = 35, hkl 1 1 2
- 27.7 deg, I = 1, hkl 1 0 3
- 30.8 deg, I = 100, hkl 2 0 0
- 35.5 deg, I = 1, hkl 2 1 1
- 41.9 deg, I = 1, hkl 1 0 5
- 44.1 deg, I = 75, hkl 2 2 0
- 52.3 deg, I = 17, hkl 3 1 2
- 52.9 deg, I = 1, hkl 2 1 5
- 54.8 deg, I = 27, hkl 2 2 4
- 57.8 deg, I = 1, hkl 3 2 1
- 64.2 deg, I = 12, hkl 4 0 0

Structure:
```
data_DyPaAs2
_chemical_formula_sum 'Dy4 Pa4 As8'
_cell_length_a 5.8010
_cell_length_b 5.8010
_cell_length_c 11.6136
_cell_angle_alpha 90.00
_cell_angle_beta 90.00
_cell_angle_gamma 90.00
_symmetry_space_group_name_H-M 'I 41/a m d'
_symmetry_Int_Tables_number 141
loop_
_symmetry_equiv_pos_as_xyz
'x,y,z'
'-x,-y,-z'
'-y+1/4,x+3/4,z+1/4'
'y+1/4,-x+3/4,-z+1/4'
'-x+1/2,-y,z+1/2'
'x+1/2,y,-z+1/2'
'y+1/4,-x+1/4,z+3/4'
'-y+1/4,x+1/4,-z+3/4'
'x,-y,-z'
'-x,y,z'
'-y+1/4,-x+1/4,-z+3/4'
'y+1/4,x+1/4,z+3/4'
'-x+1/2,y,-z+1/2'
'x+1/2,-y,z+1/2'
'y+1/4,x+3/4,-z+1/4'
'-y+1/4,-x+3/4,z+1/4'
'x+1/2,y+1/2,z+1/2'
'-x+1/2,-y+1/2,-z+1/2'
'-y+3/4,x+1/4,z+3/4'
'y+3/4,-x+1/4,-z+3/4'
'-x,-y+1/2,z'
'x,y+1/2,-z'
'y+3/4,-x+3/4,z+1/4'
'-y+3/4,x+3/4,-z+1/4'
'x+1/2,-y+1/2,-z+1/2'
'-x+1/2,y+1/2,z+1/2'
'-y+3/4,-x+3/4,-z+1/4'
'y+3/4,x+3/4,z+1/4'
'-x,y+1/2,-z'
'x,-y+1/2,z'
'y+3/4,x+1/4,-z+3/4'
'-y+3/4,-x+1/4,z+3/4'
loop_
_atom_site_label
_atom_site_type_symbol
_atom_site_fract_x
_atom_site_fract_y
_atom_site_fract_z
Dy1 Dy 0.0000 0.2500 0.3750
Pa1 Pa 0.0000 0.2500 0.8750
As1 As 0.0000 0.2500 0.1239
```

=====

No. 3
Simulated powder XRD pattern
Compound: Dy8Sb2Te
Radiation: a wavelength of 1.5418 Å
Structure: DFT lattice parameters and positions (GGA-PBE)

Principal peaks in the range 2θ = 5–70°, sorted by position:
- 29.2 deg, I = 19, hkl 4 0 2
- 29.5 deg, I = 100, hkl 1 1 -2
- 30.6 deg, I = 28, hkl 6 0 -1
- 33.4 deg, I = 20, hkl 5 1 0
- 35.5 deg, I = 39, hkl 5 1 1
- 37.2 deg, I = 13, hkl 4 0 3
- 37.6 deg, I = 10, hkl 5 1 -2
- 39.6 deg, I = 12, hkl 2 0 -4
- 44.6 deg, I = 20, hkl 0 2 0
- 49.5 deg, I = 11, hkl 7 1 -3
- 55.1 deg, I = 11, hkl 6 2 -1
- 61.2 deg, I = 11, hkl 2 2 -4

Structure:
```
data_Dy8Sb2Te
_chemical_formula_sum 'Dy16 Sb4 Te2'
_cell_length_a 17.9922
_cell_length_b 4.0601
_cell_length_c 9.2100
_cell_angle_alpha 90.00
_cell_angle_beta 95.68
_cell_angle_gamma 90.00
_symmetry_space_group_name_H-M 'C 1 2/m 1'
_symmetry_Int_Tables_number 12
loop_
_symmetry_equiv_pos_as_xyz
'x,y,z'
'-x,-y,-z'
'-x,y,-z'
'x,-y,z'
'x+1/2,y+1/2,z'
'-x+1/2,-y+1/2,-z'
'-x+1/2,y+1/2,-z'
'x+1/2,-y+1/2,z'
loop_
_atom_site_label
_atom_site_type_symbol
_atom_site_fract_x
_atom_site_fract_y
_atom_site_fract_z
Dy1 Dy 0.0139 0.0000 0.2460
Dy2 Dy 0.0945 0.5000 0.5420
Dy3 Dy 0.1669 0.5000 0.0257
Dy4 Dy 0.2114 0.0000 0.3542
Sb1 Sb 0.1745 0.0000 0.7739
Te1 Te 0.0000 0.5000 0.0000
```

=====

No. 4
Simulated powder XRD pattern
Compound: TbEuEr
Radiation: a wavelength of 1.5418 Å
Structure: DFT lattice parameters and positions (GGA-PBE)

Principal peaks in the range 2θ = 5–70°, sorted by position:
- 11.5 deg, I = 2, hkl 0 0 2
- 23.0 deg, I = 1, hkl 0 0 4
- 30.1 deg, I = 100, hkl 1 0 3
- 34.9 deg, I = 51, hkl 1 1 0
- 38.3 deg, I = 1, hkl 1 0 5
- 42.3 deg, I = 1, hkl 1 1 4
- 48.3 deg, I = 1, hkl 1 0 7
- 50.2 deg, I = 35, hkl 2 0 0
- 59.7 deg, I = 41, hkl 2 1 3
- 60.0 deg, I = 1, hkl 0 0 10
- 62.6 deg, I = 12, hkl 2 0 6
- 64.9 deg, I = 1, hkl 2 1 5

Structure:
```
data_TbEuEr
_chemical_formula_sum 'Tb2 Eu2 Er2'
_cell_length_a 3.6317
_cell_length_b 3.6317
_cell_length_c 15.4351
_cell_angle_alpha 90.00
_cell_angle_beta 90.00
_cell_angle_gamma 90.00
_symmetry_space_group_name_H-M 'I 4 m m'
_symmetry_Int_Tables_number 107
_symmetry_space_group_name_Hall 'I 4 -2'
loop_
_atom_site_label
_atom_site_type_symbol
_atom_site_fract_x
_atom_site_fract_y
_atom_site_fract_z
Tb1 Tb 0.0000 0.0000 0.0000
Eu1 Eu 0.0000 0.0000 0.3241
Er1 Er 0.0000 0.0000 0.6498
```

=====

What did the fourth record say?
Simulated powder XRD pattern
Compound: TbEuEr
Radiation: a wavelength of 1.5418 Å
Structure: DFT lattice parameters and positions (GGA-PBE)

Principal peaks in the range 2θ = 5–70°, sorted by position:
- 11.5 deg, I = 2, hkl 0 0 2
- 23.0 deg, I = 1, hkl 0 0 4
- 30.1 deg, I = 100, hkl 1 0 3
- 34.9 deg, I = 51, hkl 1 1 0
- 38.3 deg, I = 1, hkl 1 0 5
- 42.3 deg, I = 1, hkl 1 1 4
- 48.3 deg, I = 1, hkl 1 0 7
- 50.2 deg, I = 35, hkl 2 0 0
- 59.7 deg, I = 41, hkl 2 1 3
- 60.0 deg, I = 1, hkl 0 0 10
- 62.6 deg, I = 12, hkl 2 0 6
- 64.9 deg, I = 1, hkl 2 1 5

Structure:
```
data_TbEuEr
_chemical_formula_sum 'Tb2 Eu2 Er2'
_cell_length_a 3.6317
_cell_length_b 3.6317
_cell_length_c 15.4351
_cell_angle_alpha 90.00
_cell_angle_beta 90.00
_cell_angle_gamma 90.00
_symmetry_space_group_name_H-M 'I 4 m m'
_symmetry_Int_Tables_number 107
_symmetry_space_group_name_Hall 'I 4 -2'
loop_
_atom_site_label
_atom_site_type_symbol
_atom_site_fract_x
_atom_site_fract_y
_atom_site_fract_z
Tb1 Tb 0.0000 0.0000 0.0000
Eu1 Eu 0.0000 0.0000 0.3241
Er1 Er 0.0000 0.0000 0.6498
```

=====

Question: Which formula does entry 4 have?
Answer: TbEuEr